Calculated powder diffractogram
Compound: Tb2AgGe2
Radiation: Cu Kα X-rays
Structure: a DFT-relaxed cell (PBE, Alexandria)
No peak broadening, texture or thermal motion is included.

Structural model:
Cell: 7.1645 7.1645 8.6013 Å, 90.00 90.00 90.00°
Space group P4/mnc (No. 128)
Inequivalent atoms, fractional coordinates:
Tb: 0.1757 0.3243 0.0000 [8 per cell]
Ag: 0.0000 0.0000 0.2496 [4 per cell]
Ge: 0.1262 0.6262 0.2500 [8 per cell]

Top 6 peaks for 10° ≤ 2θ ≤ 80°, in order of falling intensity:
2θ = 34.92°, d = 2.569 Å, I 100, (2 1 2); 2θ = 32.53°, d = 2.752 Å, I 48, (2 0 2); 2θ = 39.79°, d = 2.266 Å, I 34, (3 1 0); 2θ = 42.02°, d = 2.150 Å, I 22, (0 0 4); 2θ = 59.25°, d = 1.560 Å, I 21, (3 1 4); 2θ = 57.18°, d = 1.611 Å, I 16, (4 1 2)